Starting from the PBE geometry in the Materials Project, the X-ray diffraction stick pattern of BaRe2O9 was calculated for Cu Kα (λ = 1.5418 Å).
No peak broadening, texture or thermal motion is included.

Cell and atoms:
```
data_BaRe2O9
_symmetry_space_group_name_H-M 'P -1'
_symmetry_Int_Tables_number 2
_cell_length_a 7.521
_cell_length_b 7.669
_cell_length_c 15.789
_cell_angle_alpha 89.66
_cell_angle_beta 84.17
_cell_angle_gamma 89.87
loop_
_symmetry_equiv_pos_as_xyz
'x,y,z'
'-x,-y,-z'
loop_
_atom_site_label
_atom_site_fract_x
_atom_site_fract_y
_atom_site_fract_z
_atom_site_occupancy
Ba1 0.219 0.181 0.131 1
Ba2 0.221 0.829 0.632 1
Re1 0.236 0.697 0.009 1
Re2 0.238 0.306 0.512 1
Re3 0.284 0.872 0.353 1
Re4 0.300 0.137 0.851 1
O1 0.003 0.569 0.746 1
O2 0.080 0.647 0.937 1
O3 0.083 0.334 0.437 1
O4 0.141 0.853 0.080 1
O5 0.146 0.166 0.593 1
O6 0.163 0.030 0.299 1
O7 0.178 0.971 0.804 1
O8 0.215 0.879 0.462 1
O9 0.232 0.150 0.960 1
O10 0.252 0.662 0.316 1
O11 0.266 0.340 0.804 1
O12 0.288 0.506 0.558 1
O13 0.295 0.512 0.065 1
O14 0.428 0.785 0.951 1
O15 0.434 0.216 0.461 1
O16 0.470 0.912 0.161 1
O17 0.486 0.079 0.661 1
O18 0.497 0.346 0.248 1
```

Principal peaks in the range 2θ = 10–90°, by angle:
- d = 7.853 Å, 11.27 deg, I = 406, (0 0 2)
- d = 7.669 Å, 11.54 deg, I = 388, (0 1 0)
- d = 3.898 Å, 22.81 deg, I = 685, (1 1 3)
- d = 3.878 Å, 22.94 deg, I = 682, (1 -1 3)
- d = 3.741 Å, 23.79 deg, I = 1000, (2 0 0)
- d = 3.621 Å, 24.58 deg, I = 711, (-1 1 3)
- d = 3.609 Å, 24.67 deg, I = 697, (1 1 -3)
- d = 3.519 Å, 25.31 deg, I = 282, (2 0 2)
- d = 3.367 Å, 26.47 deg, I = 856, (1 2 1)
- d = 3.303 Å, 26.99 deg, I = 361, (-1 2 1)